Zn4P3H7N2O12: theoretical powder X-ray diffraction pattern (CuKα), based on a cell relaxed with PBE.
Lines closer than 0.1° are merged.

Peak list (10 most intense, 2θ = 10–90°, by angle)
hkl, two_theta, d_spacing, I/Imax
0 0 2, 11.0, 8.031, 80.4
0 1 -1, 12.2, 7.246, 56.2
0 1 1, 13.2, 6.727, 34.5
-1 1 1, 18.5, 4.794, 66.1
1 0 1, 18.8, 4.709, 59.3
0 2 1, 24.1, 3.685, 100.0
0 2 -4, 30.5, 2.927, 48.1
1 0 -5, 32.0, 2.793, 34.3
1 2 0, 33.5, 2.678, 43.6
2 -1 0, 33.8, 2.655, 64.5

Cell and atoms:
```
data_Zn4P3H7N2O12
_symmetry_space_group_name_H-M 'P -1'
_symmetry_Int_Tables_number 2
_cell_length_a 5.3127
_cell_length_b 8.1962
_cell_length_c 16.1474
_cell_angle_alpha 94.45
_cell_angle_beta 92.22
_cell_angle_gamma 108.47
loop_
_symmetry_equiv_pos_as_xyz
'x,y,z'
'-x,-y,-z'
loop_
_atom_site_label
_atom_site_type_symbol
_atom_site_fract_x
_atom_site_fract_y
_atom_site_fract_z
_atom_site_occupancy
Zn1 Zn 0.0792 0.4234 0.1136 1
Zn2 Zn 0.1897 0.9980 0.8933 1
Zn3 Zn 0.2134 0.8349 0.5438 1
Zn4 Zn 0.3865 0.3670 0.3705 1
P1 P 0.1754 0.7538 0.7273 1
P2 P 0.2063 0.7975 0.0528 1
P3 P 0.3635 0.2411 0.5585 1
H1 H 0.0312 0.8497 0.3239 1
H2 H 0.1183 0.7067 0.2620 1
H3 H 0.1565 0.9066 0.2314 1
H4 H 0.3520 0.8813 0.3131 1
H5 H 0.4176 0.4781 0.9009 1
H6 H 0.4485 0.3156 0.0628 1
H7 H 0.4993 0.6303 0.8353 1
N1 N 0.1645 0.8365 0.2813 1
N2 N 0.4444 0.4069 0.1095 1
O1 O 0.0109 0.7347 0.6406 1
O2 O 0.0155 0.6301 0.0815 1
O3 O 0.0328 0.5930 0.7722 1
O4 O 0.0636 0.2152 0.5456 1
O5 O 0.1511 0.7905 0.9551 1
O6 O 0.1520 0.9561 0.0963 1
O7 O 0.1820 0.9259 0.7749 1
O8 O 0.4139 0.0750 0.5847 1
O9 O 0.4620 0.7600 0.7101 1
O10 O 0.4930 0.7168 0.5254 1
O11 O 0.4936 0.3854 0.6283 1
O12 O 0.5002 0.1932 0.9318 1
```